Theoretical powder X-ray diffraction pattern of HgBi2Pd4Au2 for Cu Kα X-rays, from a GGA-PBE-relaxed structure.
No peak broadening, texture or thermal motion is included.

Structural model:
abc: 6.5371 6.5371 8.9789
angles: 90.00 90.00 90.00
Space group I4/mmm (No. 139)
Symmetry-distinct sites (fractional):
Hg (0.0000, 0.0000, 0.0000) (multiplicity 2)
Bi (0.0000, 0.5000, 0.2500) (multiplicity 4)
Pd (0.2174, 0.2174, 0.5000) (multiplicity 8)
Au (0.0000, 0.0000, 0.2932) (multiplicity 4)

Largest 10 diffraction maxima, low angle first, 2θ from 15° to 90°:
27.28 deg, d 3.269, I = 35
32.91 deg, d 2.721, I = 19
33.93 deg, d 2.642, I = 100
38.97 deg, d 2.311, I = 72
40.17 deg, d 2.245, I = 27
43.26 deg, d 2.091, I = 37
51.90 deg, d 1.762, I = 18
56.29 deg, d 1.634, I = 23
57.21 deg, d 1.610, I = 34
67.37 deg, d 1.390, I = 21